Entry 1:
Calculated powder X-ray diffraction pattern of MoS2Cl3 for a wavelength of 1.5418 Å, from a structure optimized by DFT (GGA-PBE).
No peak broadening, texture or thermal motion is included.

Structure:
a = 6.2530 Å, b = 7.7138 Å, c = 14.3666 Å
α = 90.00°, β = 114.20°, γ = 90.00°
Space group P2_1/c (No. 14)
Asymmetric unit:
Mo (0.2019, 0.0933, 0.0052) [4 per cell]
S (0.1589, 0.5489, 0.6485) [4 per cell]
S (0.1851, 0.7167, 0.5479) [4 per cell]
Cl (0.2645, 0.1790, 0.6349) [4 per cell]
Cl (0.2756, 0.1695, 0.4163) [4 per cell]
Cl (0.3582, 0.5717, 0.3895) [4 per cell]

Peak list (10 most intense, 10 to 90 degrees two-theta, in order of rising 2θ)
- (0 1 1), 2θ 13.32, rel. 100.0
- (0 0 2), 2θ 13.51, rel. 78.5
- (1 1 0), 2θ 19.36, rel. 15.3
- (1 1 -2), 2θ 19.63, rel. 12.0
- (1 2 -3), 2θ 30.64, rel. 26.1
- (2 0 0), 2θ 31.37, rel. 20.4
- (1 3 -2), 2θ 38.55, rel. 17.9
- (1 2 -5), 2θ 39.13, rel. 10.1
- (2 0 2), 2θ 39.29, rel. 10.3
- (1 3 4), 2θ 51.64, rel. 9.5



Entry 2:
Calculated powder X-ray diffraction pattern of Mg14SnMo for a wavelength of 1.5418 Å, from a structure optimized by DFT (GGA-PBE).
No peak broadening, texture or thermal motion is included.

Structure:
a = 6.2574 Å, b = 6.2574 Å, c = 10.2117 Å
α = 90.00°, β = 90.00°, γ = 120.00°
Space group P-6m2 (No. 187)
Asymmetric unit:
Mg (0.0000, 0.0000, 0.2483) [2 per cell]
Mg (0.0102, 0.5051, 0.2408) [6 per cell]
Mg (0.3329, 0.1665, 0.5000) [3 per cell]
Mg (0.3332, 0.1666, 0.0000) [3 per cell]
Sn (0.3333, 0.6667, 0.5000) [1 per cell]
Mo (0.3333, 0.6667, 0.0000) [1 per cell]

Peak list (10 most intense, 10 to 90 degrees two-theta, in order of rising 2θ)
- (1 0 0), 2θ 16.36, rel. 45.2
- (1 0 2), 2θ 23.95, rel. 32.6
- (2 0 0), 2θ 33.06, rel. 29.1
- (0 0 4), 2θ 35.15, rel. 25.8
- (2 0 2), 2θ 37.58, rel. 100.0
- (2 0 4), 2θ 49.03, rel. 18.8
- (2 2 0), 2θ 59.05, rel. 16.7
- (2 0 6), 2θ 64.67, rel. 23.4
- (2 2 4), 2θ 70.62, rel. 19.0
- (4 0 2), 2θ 72.14, rel. 17.8



Entry 3:
Calculated powder X-ray diffraction pattern of Cd2P2H10CCl2O11 for a wavelength of 1.5418 Å, from a structure optimized by DFT (GGA-PBE).
No peak broadening, texture or thermal motion is included.

Structure:
a = 5.7224 Å, b = 9.6817 Å, c = 12.5353 Å
α = 78.19°, β = 82.17°, γ = 75.11°
Space group P-1 (No. 2)
Asymmetric unit:
Cd (0.1391, 0.0687, 0.2506) [2 per cell]
Cd (0.2525, 0.4033, 0.9189) [2 per cell]
P (0.1460, 0.7401, 0.1822) [2 per cell]
P (0.3088, 0.3965, 0.1867) [2 per cell]
H (0.0584, 0.8305, 0.9635) [2 per cell]
H (0.1306, 0.1671, 0.6191) [2 per cell]
H (0.2132, 0.2698, 0.5124) [2 per cell]
H (0.2260, 0.8491, 0.5692) [2 per cell]
H (0.2370, 0.7514, 0.8760) [2 per cell]
H (0.2630, 0.0444, 0.4641) [2 per cell]
H (0.3812, 0.9477, 0.8745) [2 per cell]
H (0.3828, 0.8014, 0.6731) [2 per cell]
H (0.4525, 0.9093, 0.4237) [2 per cell]
H (0.4934, 0.0825, 0.8811) [2 per cell]
C (0.1685, 0.5501, 0.2635) [2 per cell]
Cl (0.1351, 0.4671, 0.6873) [2 per cell]
Cl (0.3294, 0.5263, 0.3814) [2 per cell]
O (0.0333, 0.2438, 0.9037) [2 per cell]
O (0.0522, 0.8426, 0.2649) [2 per cell]
O (0.1343, 0.4195, 0.0968) [2 per cell]
O (0.1348, 0.8490, 0.8869) [2 per cell]
O (0.2159, 0.8307, 0.6496) [2 per cell]
O (0.2461, 0.1696, 0.5506) [2 per cell]
O (0.2768, 0.9608, 0.4267) [2 per cell]
O (0.3177, 0.2551, 0.2693) [2 per cell]
O (0.4012, 0.7481, 0.1298) [2 per cell]
O (0.4356, 0.5886, 0.8607) [2 per cell]
O (0.4673, 0.0207, 0.1262) [2 per cell]

Peak list (10 most intense, 10 to 90 degrees two-theta, in order of rising 2θ)
- (0 1 1), 2θ 10.96, rel. 55.5
- (0 0 2), 2θ 14.49, rel. 80.1
- (0 2 1), 2θ 19.32, rel. 85.7
- (-1 1 1), 2θ 21.81, rel. 54.7
- (0 1 -3), 2θ 25.45, rel. 51.0
- (1 0 3), 2θ 26.03, rel. 72.5
- (-1 2 1), 2θ 28.43, rel. 57.5
- (1 3 1), 2θ 29.06, rel. 100.0
- (1 3 0), 2θ 29.79, rel. 55.4
- (1 0 4), 2θ 32.21, rel. 69.3



Entry 4:
Calculated powder X-ray diffraction pattern of Ni2GeP for a wavelength of 1.5418 Å, from a structure optimized by DFT (GGA-PBE).
No peak broadening, texture or thermal motion is included.

Structure:
a = 4.9834 Å, b = 13.9865 Å, c = 6.1004 Å
α = 90.00°, β = 90.00°, γ = 90.00°
Space group Pbca (No. 61)
Asymmetric unit:
Ni (0.0033, 0.0754, 0.2319) [8 per cell]
Ni (0.0044, 0.1980, 0.7599) [8 per cell]
Ge (0.2298, 0.0597, 0.5920) [8 per cell]
P (0.2351, 0.6865, 0.0696) [8 per cell]

Peak list (10 most intense, 10 to 90 degrees two-theta, in order of rising 2θ)
- (0 0 2), 2θ 29.28, rel. 19.1
- (0 4 1), 2θ 29.44, rel. 30.6
- (1 0 2), 2θ 34.47, rel. 34.0
- (1 4 1), 2θ 34.62, rel. 64.5
- (2 0 2), 2θ 47.09, rel. 50.3
- (2 4 1), 2θ 47.20, rel. 100.0
- (0 4 3), 2θ 52.02, rel. 59.3
- (0 8 0), 2θ 52.33, rel. 26.6
- (3 0 2), 2θ 63.85, rel. 18.5
- (2 8 2), 2θ 73.03, rel. 19.2



Entry 5:
Calculated powder X-ray diffraction pattern of SmZn2 for a wavelength of 1.5418 Å, from a structure optimized by DFT (GGA-PBE).
No peak broadening, texture or thermal motion is included.

Structure:
a = 4.5585 Å, b = 7.3361 Å, c = 7.5860 Å
α = 90.00°, β = 90.00°, γ = 90.00°
Space group Imma (No. 74)
Asymmetric unit:
Sm (0.0000, 0.2500, 0.0336) [4 per cell]
Zn (0.0000, 0.0491, 0.6657) [8 per cell]

Peak list (10 most intense, 10 to 90 degrees two-theta, in order of rising 2θ)
- (1 0 1), 2θ 22.76, rel. 17.2
- (1 1 2), 2θ 33.06, rel. 24.2
- (1 2 1), 2θ 33.51, rel. 100.0
- (0 2 2), 2θ 34.00, rel. 42.8
- (0 3 1), 2θ 38.69, rel. 13.5
- (2 0 0), 2θ 39.54, rel. 32.3
- (1 0 3), 2θ 40.81, rel. 47.9
- (2 2 2), 2θ 53.11, rel. 23.8
- (1 3 4), 2θ 65.57, rel. 14.3
- (3 2 1), 2θ 67.90, rel. 12.6